(1)
Computed XRD peak list
Compound: CaMg3Ga
Radiation: Cu Kα (λ = 1.5418 Å)
Structure: the PBE geometry in Alexandria
Kinematic intensities with the Lorentz-polarization factor, no thermal factor.

The 10 most intense peaks (10° ≤ 2θ ≤ 90°), in order of rising 2θ:
| 2θ (°) | intensity |
| --- | --- |
| 17.1 | 43.6 |
| 24.3 | 100.0 |
| 34.6 | 90.5 |
| 38.8 | 23.3 |
| 42.7 | 42.6 |
| 49.7 | 61.8 |
| 56.1 | 18.2 |
| 62.0 | 20.4 |
| 67.6 | 20.0 |
| 83.3 | 24.9 |

Crystal structure
Unit cell a=5.1857 b=5.1857 c=5.1857 alpha=90.00 beta=90.00 gamma=90.00
Sites, in units of the cell vectors:
Ca (0.0000, 0.0000, 0.0000)
Mg (0.0000, 0.5000, 0.5000)
Mg (0.5000, 0.0000, 0.5000)
Mg (0.5000, 0.5000, 0.0000)
Ga (0.5000, 0.5000, 0.5000)


(2)
Computed XRD peak list
Compound: CaMg2Ga10
Radiation: Cu Kα (λ = 1.5418 Å)
Structure: the PBE geometry in Alexandria
Kinematic intensities with the Lorentz-polarization factor, no thermal factor.

The 10 most intense peaks (10° ≤ 2θ ≤ 90°), in order of rising 2θ:
| 2θ (°) | intensity |
| --- | --- |
| 13.5 | 64.0 |
| 30.3 | 61.2 |
| 32.3 | 69.7 |
| 35.9 | 100.0 |
| 37.3 | 86.0 |
| 38.0 | 85.3 |
| 38.2 | 76.2 |
| 40.6 | 63.7 |
| 41.1 | 60.3 |
| 42.2 | 45.1 |

Crystal structure
Unit cell a=9.4152 b=7.3570 c=7.2080 alpha=80.54 beta=50.42 gamma=49.04
Sites, in units of the cell vectors:
Ca (0.0000, 0.0000, 0.0000)
Mg (0.0000, 0.5000, 0.0000)
Mg (0.5000, 0.0000, 0.5000)
Ga (0.0000, 0.0000, 0.5000)
Ga (0.0029, 0.6435, 0.3565)
Ga (0.2849, 0.5046, 0.4954)
Ga (0.3565, 0.9971, 0.0029)
Ga (0.4954, 0.7151, 0.2849)
Ga (0.5000, 0.5000, 0.0000)
Ga (0.5046, 0.2849, 0.7151)
Ga (0.6435, 0.0029, 0.9971)
Ga (0.7151, 0.4954, 0.5046)
Ga (0.9971, 0.3565, 0.6435)


(3)
Computed XRD peak list
Compound: CaMg6Ga
Radiation: Cu Kα (λ = 1.5418 Å)
Structure: the PBE geometry in Alexandria
Kinematic intensities with the Lorentz-polarization factor, no thermal factor.

The 10 most intense peaks (10° ≤ 2θ ≤ 90°), in order of rising 2θ:
| 2θ (°) | intensity |
| --- | --- |
| 15.6 | 29.1 |
| 31.5 | 32.7 |
| 35.6 | 37.9 |
| 35.8 | 61.3 |
| 36.3 | 100.0 |
| 48.3 | 19.0 |
| 55.3 | 18.2 |
| 64.5 | 17.2 |
| 67.5 | 19.2 |
| 68.6 | 26.3 |

Crystal structure
Unit cell a=5.0389 b=6.5163 c=11.5884 alpha=90.00 beta=90.00 gamma=90.00
Sites, in units of the cell vectors:
Ca (0.0000, 0.0000, 0.0000)
Ca (0.0000, 0.5000, 0.5000)
Mg (0.0000, 0.0000, 0.4813)
Mg (0.0000, 0.2480, 0.2413)
Mg (0.0000, 0.2520, 0.7413)
Mg (0.0000, 0.5000, 0.9813)
Mg (0.0000, 0.7480, 0.7413)
Mg (0.0000, 0.7520, 0.2413)
Mg (0.5000, 0.0000, 0.6440)
Mg (0.5000, 0.2425, 0.3922)
Mg (0.5000, 0.2575, 0.8922)
Mg (0.5000, 0.5000, 0.1440)
Mg (0.5000, 0.7425, 0.8922)
Mg (0.5000, 0.7575, 0.3922)
Ga (0.5000, 0.0000, 0.1572)
Ga (0.5000, 0.5000, 0.6572)


(4)
Computed XRD peak list
Compound: Ca2MgGa4Pt3
Radiation: Cu Kα (λ = 1.5418 Å)
Structure: the PBE geometry in Alexandria
Kinematic intensities with the Lorentz-polarization factor, no thermal factor.

The 10 most intense peaks (10° ≤ 2θ ≤ 90°), in order of rising 2θ:
| 2θ (°) | intensity |
| --- | --- |
| 22.9 | 100.0 |
| 26.6 | 43.4 |
| 31.8 | 54.5 |
| 34.4 | 79.4 |
| 43.8 | 68.9 |
| 44.2 | 86.6 |
| 45.1 | 45.3 |
| 50.0 | 26.0 |
| 64.7 | 30.5 |
| 80.8 | 30.2 |

Crystal structure
Unit cell a=4.1310 b=4.1310 c=11.4984 alpha=90.00 beta=90.00 gamma=90.00
Sites, in units of the cell vectors:
Ca (0.0000, 0.5000, 0.2412)
Ca (0.5000, 0.0000, 0.7588)
Mg (0.0000, 0.0000, 0.5000)
Ga (0.0000, 0.0000, 0.0000)
Ga (0.0000, 0.5000, 0.6468)
Ga (0.5000, 0.0000, 0.3532)
Ga (0.5000, 0.5000, 0.0000)
Pt (0.0000, 0.5000, 0.8662)
Pt (0.5000, 0.0000, 0.1338)
Pt (0.5000, 0.5000, 0.5000)


(5)
Computed XRD peak list
Compound: CaMgTlGa
Radiation: Cu Kα (λ = 1.5418 Å)
Structure: the PBE geometry in Alexandria
Kinematic intensities with the Lorentz-polarization factor, no thermal factor.

The 10 most intense peaks (10° ≤ 2θ ≤ 90°), in order of rising 2θ:
| 2θ (°) | intensity |
| --- | --- |
| 21.1 | 31.6 |
| 24.4 | 43.6 |
| 34.8 | 100.0 |
| 41.1 | 17.8 |
| 43.0 | 13.7 |
| 50.1 | 17.7 |
| 56.5 | 18.8 |
| 62.5 | 36.1 |
| 73.5 | 11.1 |
| 84.0 | 15.6 |

Crystal structure
Unit cell a=7.2853 b=7.2853 c=7.2853 alpha=90.00 beta=90.00 gamma=90.00
Sites, in units of the cell vectors:
Ca (0.0000, 0.0000, 0.0000)
Ca (0.0000, 0.5000, 0.5000)
Ca (0.5000, 0.0000, 0.5000)
Ca (0.5000, 0.5000, 0.0000)
Mg (0.0000, 0.0000, 0.5000)
Mg (0.0000, 0.5000, 0.0000)
Mg (0.5000, 0.0000, 0.0000)
Mg (0.5000, 0.5000, 0.5000)
Tl (0.2500, 0.2500, 0.7500)
Tl (0.2500, 0.7500, 0.2500)
Tl (0.7500, 0.2500, 0.2500)
Tl (0.7500, 0.7500, 0.7500)
Ga (0.2500, 0.2500, 0.2500)
Ga (0.2500, 0.7500, 0.7500)
Ga (0.7500, 0.2500, 0.7500)
Ga (0.7500, 0.7500, 0.2500)


(6)
Computed XRD peak list
Compound: Ca2Mg12Zn3Ga
Radiation: Cu Kα (λ = 1.5418 Å)
Structure: the PBE geometry in Alexandria
Kinematic intensities with the Lorentz-polarization factor, no thermal factor.

The 10 most intense peaks (10° ≤ 2θ ≤ 90°), in order of rising 2θ:
| 2θ (°) | intensity |
| --- | --- |
| 14.3 | 40.9 |
| 19.7 | 35.7 |
| 28.2 | 53.7 |
| 30.8 | 29.3 |
| 31.7 | 16.4 |
| 32.0 | 39.0 |
| 37.2 | 100.0 |
| 40.0 | 36.0 |
| 50.8 | 21.4 |
| 56.3 | 33.5 |

Crystal structure
Unit cell a=12.9816 b=12.9816 c=12.9816 alpha=29.15 beta=29.15 gamma=29.15
Sites, in units of the cell vectors:
Ca (0.1392, 0.1392, 0.1392)
Ca (0.8608, 0.8608, 0.8608)
Mg (0.1041, 0.1041, 0.6401)
Mg (0.1041, 0.6401, 0.1041)
Mg (0.1083, 0.6156, 0.6156)
Mg (0.3599, 0.8959, 0.8959)
Mg (0.3844, 0.3844, 0.8917)
Mg (0.3844, 0.8917, 0.3844)
Mg (0.6156, 0.1083, 0.6156)
Mg (0.6156, 0.6156, 0.1083)
Mg (0.6401, 0.1041, 0.1041)
Mg (0.8917, 0.3844, 0.3844)
Mg (0.8959, 0.3599, 0.8959)
Mg (0.8959, 0.8959, 0.3599)
Zn (0.0000, 0.5000, 0.5000)
Zn (0.5000, 0.0000, 0.5000)
Zn (0.5000, 0.5000, 0.0000)
Ga (0.5000, 0.5000, 0.5000)